Computed XRD peak list of Pa2NbH6 for a wavelength of 1.5418 Å, from a DFT-relaxed cell (GGA-PBE, Alexandria).

Atomic structure:
Unit cell a=10.596 b=5.148 c=3.361 alpha=90.00 beta=95.25 gamma=90.00
Space group C2/m (No. 12)
Unique sites:
Pa: 0.149 0.000 0.213
Nb: 0.000 0.500 0.500
H: 0.000 0.293 0.000
H: 0.161 0.293 0.692

Top 10 peaks for 10° ≤ 2θ ≤ 90°, sorted by position:
- 19.18 deg, intensity 32
- 30.29 deg, intensity 16
- 30.79 deg, intensity 100
- 32.38 deg, intensity 85
- 32.98 deg, intensity 44
- 34.85 deg, intensity 39
- 41.61 deg, intensity 15
- 48.74 deg, intensity 32
- 56.54 deg, intensity 19
- 59.98 deg, intensity 16

Computed XRD peak list of KMn5Se8 for a wavelength of 1.5418 Å, from a DFT-relaxed cell (GGA-PBE, Alexandria).

Atomic structure:
Unit cell a=18.877 b=3.698 c=9.052 alpha=90.00 beta=105.01 gamma=90.00
Space group C2/m (No. 12)
Unique sites:
K: 0.000 0.000 0.000
Mn: 0.000 0.500 0.500
Mn: 0.158 0.000 0.489
Mn: 0.204 0.000 0.839
Se: 0.071 0.000 0.663
Se: 0.086 0.500 0.330
Se: 0.166 0.500 0.994
Se: 0.239 0.500 0.656

Top 10 peaks for 10° ≤ 2θ ≤ 90°, sorted by position:
- 10.12 deg, intensity 46
- 12.08 deg, intensity 29
- 31.20 deg, intensity 54
- 31.38 deg, intensity 100
- 32.66 deg, intensity 62
- 33.64 deg, intensity 27
- 37.30 deg, intensity 31
- 39.13 deg, intensity 36
- 49.29 deg, intensity 34
- 50.01 deg, intensity 59